Record 1
Starting from a cell relaxed with PBE, the powder X-ray diffraction pattern of Ba2PuTaO6 was computed for Cu Kα.
Neutral-atom scattering factors, no anomalous dispersion.

Structure:
Cell lengths 6.1019, 6.1019, 6.1019 Å; angles 60.00, 60.00, 60.00 degrees
Element x y z (fractional)
1 Ba 0.2500 0.2500 0.2500
2 Ba 0.7500 0.7500 0.7500
3 Pu 0.0000 0.0000 0.0000
4 Ta 0.5000 0.5000 0.5000
5 O 0.2657 0.2657 0.7343
6 O 0.2657 0.7343 0.2657
7 O 0.2657 0.7343 0.7343
8 O 0.7343 0.2657 0.2657
9 O 0.7343 0.2657 0.7343
10 O 0.7343 0.7343 0.2657

Main lines, sorted by position (2θ from 15° to 90°):
d [Å], 2θ/deg, intensity
4.315, 20.6, 10
3.051, 29.3, 100
2.157, 41.9, 27
1.930, 47.1, 4
1.761, 51.9, 42
1.525, 60.7, 18
1.438, 64.8, 2
1.364, 68.8, 19
1.246, 76.5, 6
1.153, 83.9, 22

Record 2
Starting from a cell relaxed with PBE, the powder X-ray diffraction pattern of Ba2PuTiO6 was computed for Cu Kα.
Neutral-atom scattering factors, no anomalous dispersion.

Structure:
Cell lengths 5.9613, 5.9613, 5.9613 Å; angles 60.00, 60.00, 60.00 degrees
Element x y z (fractional)
1 Ba 0.2500 0.2500 0.2500
2 Ba 0.7500 0.7500 0.7500
3 Pu 0.0000 0.0000 0.0000
4 Ti 0.5000 0.5000 0.5000
5 O 0.2621 0.2621 0.7379
6 O 0.2621 0.7379 0.2621
7 O 0.2621 0.7379 0.7379
8 O 0.7379 0.2621 0.2621
9 O 0.7379 0.2621 0.7379
10 O 0.7379 0.7379 0.2621

Main lines, sorted by position (2θ from 15° to 90°):
d [Å], 2θ/deg, intensity
4.867, 18.2, 25
2.981, 30.0, 100
2.542, 35.3, 18
2.108, 42.9, 29
1.934, 47.0, 9
1.721, 53.2, 41
1.490, 62.3, 18
1.333, 70.7, 18
1.217, 78.6, 6
1.127, 86.4, 22

Record 3
Starting from a cell relaxed with PBE, the powder X-ray diffraction pattern of Ba10Re3O22 was computed for Cu Kα.
Neutral-atom scattering factors, no anomalous dispersion.

Structure:
Cell lengths 10.5782, 10.5782, 10.2379 Å; angles 93.20, 93.20, 32.07 degrees
Element x y z (fractional)
1 Ba 0.0666 0.0666 0.3402
2 Ba 0.1786 0.1786 0.8961
3 Ba 0.2922 0.2922 0.5861
4 Ba 0.4071 0.4071 0.9147
5 Ba 0.4313 0.4313 0.3283
6 Ba 0.5687 0.5687 0.6717
7 Ba 0.5929 0.5929 0.0853
8 Ba 0.7078 0.7078 0.4139
9 Ba 0.8214 0.8214 0.1039
10 Ba 0.9334 0.9334 0.6598
11 Re 0.0000 0.0000 0.0000
12 Re 0.2569 0.2569 0.2385
13 Re 0.7431 0.7431 0.7615
14 O 0.0261 0.5514 0.8489
15 O 0.0498 0.0498 0.5878
16 O 0.0831 0.5331 0.3406
17 O 0.0864 0.0864 0.0814
18 O 0.1967 0.1967 0.3761
19 O 0.2061 0.7415 0.1182
20 O 0.2585 0.7939 0.8818
21 O 0.3255 0.3255 0.1185
22 O 0.4267 0.4267 0.6421
23 O 0.4486 0.9739 0.1511
24 O 0.4669 0.9169 0.6594
25 O 0.5331 0.0831 0.3406
26 O 0.5514 0.0261 0.8489
27 O 0.5733 0.5733 0.3579
28 O 0.6745 0.6745 0.8815
29 O 0.7415 0.2061 0.1182
30 O 0.7939 0.2585 0.8818
31 O 0.8033 0.8033 0.6239
32 O 0.9136 0.9136 0.9186
33 O 0.9169 0.4669 0.6594
34 O 0.9502 0.9502 0.4122
35 O 0.9739 0.4486 0.1511

Main lines, sorted by position (2θ from 15° to 90°):
d [Å], 2θ/deg, intensity
4.956, 17.9, 21
3.408, 26.1, 24
3.285, 27.1, 64
3.215, 27.7, 100
2.934, 30.5, 24
2.922, 30.6, 64
2.892, 30.9, 41
2.749, 32.6, 30
2.243, 40.2, 18
2.002, 45.3, 20

Record 4
Starting from a cell relaxed with PBE, the powder X-ray diffraction pattern of Ba3Re2O9 was computed for Cu Kα.
Neutral-atom scattering factors, no anomalous dispersion.

Structure:
Cell lengths 7.7828, 7.7828, 7.7828 Å; angles 43.58, 43.58, 43.58 degrees
Element x y z (fractional)
1 Ba 0.0000 0.0000 0.0000
2 Ba 0.2112 0.2112 0.2112
3 Ba 0.7888 0.7888 0.7888
4 Re 0.3913 0.3913 0.3913
5 Re 0.6087 0.6087 0.6087
6 O 0.0000 0.5000 0.5000
7 O 0.2467 0.7206 0.7206
8 O 0.2794 0.2794 0.7533
9 O 0.2794 0.7533 0.2794
10 O 0.5000 0.0000 0.5000
11 O 0.5000 0.5000 0.0000
12 O 0.7206 0.2467 0.7206
13 O 0.7206 0.7206 0.2467
14 O 0.7533 0.2794 0.2794

Main lines, sorted by position (2θ from 15° to 90°):
d [Å], 2θ/deg, intensity
3.225, 27.7, 100
2.889, 31.0, 77
2.152, 42.0, 46
1.944, 46.7, 20
1.726, 53.1, 32
1.668, 55.1, 16
1.613, 57.1, 12
1.444, 64.5, 14
1.408, 66.4, 16
1.318, 71.6, 14

Record 5
Starting from a cell relaxed with PBE, the powder X-ray diffraction pattern of BaRe3S4O7 was computed for Cu Kα.
Neutral-atom scattering factors, no anomalous dispersion.

Structure:
Cell lengths 8.6709, 8.7516, 9.1107 Å; angles 68.68, 82.37, 79.79 degrees
Element x y z (fractional)
1 Ba 0.0905 0.1473 0.2097
2 Ba 0.9095 0.8527 0.7903
3 Re 0.2728 0.3696 0.4818
4 Re 0.3177 0.7390 0.5273
5 Re 0.4812 0.3621 0.7920
6 Re 0.5188 0.6379 0.2080
7 Re 0.6823 0.2610 0.4727
8 Re 0.7272 0.6304 0.5182
9 S 0.2318 0.4817 0.6894
10 S 0.2541 0.6558 0.3237
11 S 0.4615 0.1796 0.6545
12 S 0.4833 0.3531 0.2902
13 S 0.5167 0.6469 0.7098
14 S 0.5385 0.8204 0.3455
15 S 0.7459 0.3442 0.6763
16 S 0.7682 0.5183 0.3106
17 O 0.0721 0.4625 0.0212
18 O 0.1178 0.2812 0.4578
19 O 0.1288 0.8319 0.9767
20 O 0.1594 0.9918 0.9023
21 O 0.1790 0.9050 0.5440
22 O 0.2478 0.0437 0.9839
23 O 0.4592 0.2739 0.9926
24 O 0.5408 0.7261 0.0074
25 O 0.7522 0.9563 0.0161
26 O 0.8210 0.0950 0.4560
27 O 0.8406 0.0082 0.0977
28 O 0.8712 0.1681 0.0233
29 O 0.8822 0.7188 0.5422
30 O 0.9279 0.5375 0.9788

Main lines, sorted by position (2θ from 15° to 90°):
d [Å], 2θ/deg, intensity
5.487, 16.2, 40
3.696, 24.1, 100
3.582, 24.9, 45
3.232, 27.6, 41
3.182, 28.0, 35
3.119, 28.6, 46
2.895, 30.9, 30
2.821, 31.7, 63
2.675, 33.5, 43
2.443, 36.8, 28

Record 6
Starting from a cell relaxed with PBE, the powder X-ray diffraction pattern of Ba2ScReO6 was computed for Cu Kα.
Neutral-atom scattering factors, no anomalous dispersion.

Structure:
Cell lengths 5.8340, 5.8340, 5.8340 Å; angles 60.00, 60.00, 60.00 degrees
Element x y z (fractional)
1 Ba 0.2500 0.2500 0.2500
2 Ba 0.7500 0.7500 0.7500
3 Sc 0.0000 0.0000 0.0000
4 Re 0.5000 0.5000 0.5000
5 O 0.2583 0.2583 0.7417
6 O 0.2583 0.7417 0.2583
7 O 0.2583 0.7417 0.7417
8 O 0.7417 0.2583 0.2583
9 O 0.7417 0.2583 0.7417
10 O 0.7417 0.7417 0.2583

Main lines, sorted by position (2θ from 15° to 90°):
d [Å], 2θ/deg, intensity
4.763, 18.6, 21
2.917, 30.6, 100
2.488, 36.1, 12
2.063, 43.9, 30
1.893, 48.1, 5
1.684, 54.5, 40
1.459, 63.8, 19
1.305, 72.5, 18
1.191, 80.7, 6
1.103, 88.7, 22

Record 7
Starting from a cell relaxed with PBE, the powder X-ray diffraction pattern of Ba6YRe3O18 was computed for Cu Kα.
Neutral-atom scattering factors, no anomalous dispersion.

Structure:
Cell lengths 10.2151, 10.2151, 10.0871 Å; angles 99.72, 99.72, 119.99 degrees
Element x y z (fractional)
1 Ba 0.0413 0.3655 0.1241
2 Ba 0.1290 0.1290 0.3852
3 Ba 0.2026 0.5366 0.6076
4 Ba 0.2828 0.2828 0.8756
5 Ba 0.3655 0.0413 0.1241
6 Ba 0.4634 0.7974 0.3924
7 Ba 0.5366 0.2026 0.6076
8 Ba 0.6345 0.9587 0.8759
9 Ba 0.7172 0.7172 0.1244
10 Ba 0.7974 0.4634 0.3924
11 Ba 0.8710 0.8710 0.6148
12 Ba 0.9587 0.6345 0.8759
13 Y 0.3333 0.6667 0.0000
14 Y 0.6667 0.3333 0.0000
15 Re 0.0891 0.7599 0.2680
16 Re 0.2401 0.9109 0.7320
17 Re 0.4189 0.4189 0.2679
18 Re 0.5811 0.5811 0.7321
19 Re 0.7599 0.0891 0.2680
20 Re 0.9109 0.2401 0.7320
21 O 0.0335 0.2110 0.6305
22 O 0.0468 0.8580 0.1408
23 O 0.0548 0.7203 0.6314
24 O 0.1089 0.4426 0.8623
25 O 0.1210 0.6317 0.3625
26 O 0.1420 0.9532 0.8592
27 O 0.2006 0.7120 0.1376
28 O 0.2110 0.0335 0.6305
29 O 0.2358 0.2358 0.1407
30 O 0.2797 0.9452 0.3686
31 O 0.2880 0.7994 0.8624
32 O 0.3003 0.4570 0.3687
33 O 0.3683 0.8790 0.6375
34 O 0.3799 0.5345 0.1376
35 O 0.3899 0.3899 0.6367
36 O 0.4426 0.1089 0.8623
37 O 0.4570 0.3003 0.3687
38 O 0.4655 0.6201 0.8624
39 O 0.5345 0.3799 0.1376
40 O 0.5430 0.6997 0.6313
41 O 0.5574 0.8911 0.1377
42 O 0.6101 0.6101 0.3633
43 O 0.6201 0.4655 0.8624
44 O 0.6317 0.1210 0.3625
45 O 0.6997 0.5430 0.6313
46 O 0.7120 0.2006 0.1376
47 O 0.7203 0.0548 0.6314
48 O 0.7642 0.7642 0.8592
49 O 0.7890 0.9665 0.3695
50 O 0.7994 0.2880 0.8624
51 O 0.8580 0.0468 0.1408
52 O 0.8790 0.3683 0.6375
53 O 0.8911 0.5574 0.1377
54 O 0.9452 0.2797 0.3686
55 O 0.9532 0.1420 0.8592
56 O 0.9665 0.7890 0.3695

Main lines, sorted by position (2θ from 15° to 90°):
d [Å], 2θ/deg, intensity
3.183, 28.0, 100
2.949, 30.3, 91
2.163, 41.8, 52
1.890, 48.1, 15
1.744, 52.5, 34
1.703, 53.8, 18
1.592, 57.9, 15
1.474, 63.0, 17
1.401, 66.8, 17
1.338, 70.4, 15

Record 8
Starting from a cell relaxed with PBE, the powder X-ray diffraction pattern of BaRuO3 was computed for Cu Kα.
Neutral-atom scattering factors, no anomalous dispersion.

Structure:
Cell lengths 8.0464, 8.0464, 8.0464 Å; angles 42.49, 42.49, 42.49 degrees
Element x y z (fractional)
1 Ba 0.0000 0.0000 0.0000
2 Ba 0.2194 0.2194 0.2194
3 Ba 0.7806 0.7806 0.7806
4 Ru 0.3829 0.3829 0.3829
5 Ru 0.5000 0.5000 0.5000
6 Ru 0.6171 0.6171 0.6171
7 O 0.0000 0.5000 0.5000
8 O 0.2477 0.7140 0.7140
9 O 0.2860 0.2860 0.7523
10 O 0.2860 0.7523 0.2860
11 O 0.5000 0.0000 0.5000
12 O 0.5000 0.5000 0.0000
13 O 0.7140 0.2477 0.7140
14 O 0.7140 0.7140 0.2477
15 O 0.7523 0.2860 0.2860

Main lines, sorted by position (2θ from 15° to 90°):
d [Å], 2θ/deg, intensity
3.311, 26.9, 49
2.916, 30.7, 100
2.662, 33.7, 16
2.409, 37.3, 22
2.293, 39.3, 14
2.188, 41.3, 29
1.857, 49.1, 17
1.750, 52.3, 14
1.683, 54.5, 20
1.458, 63.8, 19